Structure and computed powder diffraction line list of BaSmAuSe2S (DFT lattice parameters and positions (GGA-PBE); Cu Kα X-rays).

Principal peaks in the range 2θ from 5° to 70°, in order of falling intensity:
- 2θ 32.9, intensity 100
- 2θ 29.4, intensity 72
- 2θ 27.6, intensity 57
- 2θ 42.5, intensity 57
- 2θ 41.8, intensity 55
- 2θ 12.5, intensity 53

```
12
Lattice="2.1274 -7.1007 0.0000 2.1274 7.1007 0.0000 0.0000 0.0000 10.6510" Properties=species:S:1:pos:R:3 pbc="T T T"
Ba 2.1274 3.6790 7.9882
Ba 2.1274 -3.6790 2.6627
Sm 2.1274 0.0000 0.0000
Sm 2.1274 0.0000 5.3255
Au 2.1274 6.6710 2.6627
Au 2.1274 -6.6710 7.9882
Se 2.1274 5.0871 0.5627
Se 2.1274 5.0871 4.7628
Se 2.1274 -5.0871 5.8882
Se 2.1274 -5.0871 10.0883
S 2.1274 1.0575 2.6627
S 2.1274 -1.0575 7.9882
```


Structure and computed powder diffraction line list of Ba2TlSb2Au (DFT lattice parameters and positions (GGA-PBE); Cu Kα X-rays).

Principal peaks in the range 2θ from 5° to 70°, in order of falling intensity:
- 2θ 27.7, intensity 100
- 2θ 36.9, intensity 58
- 2θ 46.7, intensity 24
- 2θ 61.0, intensity 22
- 2θ 52.5, intensity 16
- 2θ 34.3, intensity 15

```
6
Lattice="4.8718 0.0000 0.0000 -2.4359 4.2191 0.0000 0.0000 0.0000 9.9881" Properties=species:S:1:pos:R:3 pbc="T T T"
Ba 0.0000 0.0000 0.0000
Ba 0.0000 0.0000 4.6628
Tl 2.4359 1.4064 7.9805
Sb 0.0000 2.8128 6.7573
Sb 2.4359 1.4064 2.3357
Au 0.0000 2.8128 2.2161
```